No. 1
Ti4Pd5Pt: simulated powder X-ray diffraction pattern (Cu Kα (λ = 1.5418 Å)), based on a DFT-relaxed cell (PBE, Alexandria).
Peak positions follow from Bragg's law for the DFT cell and can differ from measured ones.

Structural model:
a = 14.481 Å, b = 2.886 Å, c = 7.936 Å
α = 90.00°, β = 108.74°, γ = 90.00°
Space group C2/m (No. 12)
One atom of each set of equivalent atoms:
Ti1 0.093 0.000 0.311 (multiplicity 4)
Ti2 0.197 0.500 0.104 (multiplicity 4)
Pd1 0.000 0.500 0.500 (multiplicity 2)
Pd2 0.108 0.000 0.810 (multiplicity 4)
Pd3 0.208 0.500 0.607 (multiplicity 4)
Pt1 0.000 0.500 0.000 (multiplicity 2)

The 8 most intense peaks (10° ≤ 2θ ≤ 90°), in order of rising 2θ:
Position (°2θ), intensity, (hkl)
20.1, 31, 2 0 1
38.6, 100, 1 1 -2
39.0, 47, 6 0 -2
40.9, 41, 4 0 2
45.6, 59, 5 1 0
45.8, 30, 2 0 -4
65.3, 20, 7 1 -4
82.7, 24, 2 2 -4



No. 2
LiCCl: simulated powder X-ray diffraction pattern (Cu Kα (λ = 1.5418 Å)), based on a DFT-relaxed cell (PBE, Alexandria).
Peak positions follow from Bragg's law for the DFT cell and can differ from measured ones.

Structural model:
a = 6.630 Å, b = 4.718 Å, c = 7.293 Å
α = 90.00°, β = 113.40°, γ = 90.00°
Space group Cm (No. 8)
One atom of each set of equivalent atoms:
Li1 0.000 0.000 0.000 (multiplicity 2)
Li2 0.245 0.000 0.737 (multiplicity 2)
C1 0.122 0.366 0.869 (multiplicity 4)
Cl1 0.120 0.251 0.369 (multiplicity 4)

The 8 most intense peaks (10° ≤ 2θ ≤ 90°), in order of rising 2θ:
Position (°2θ), intensity, (hkl)
13.2, 100, 0 0 1
26.6, 96, 0 0 2
27.0, 33, 2 0 -1
29.4, 73, 2 0 0
30.9, 50, 2 0 -2
40.5, 35, 0 2 1
47.1, 20, 0 2 2
49.9, 22, 2 2 -2



No. 3
SrPrZn2Au2: simulated powder X-ray diffraction pattern (Cu Kα (λ = 1.5418 Å)), based on a DFT-relaxed cell (PBE, Alexandria).
Peak positions follow from Bragg's law for the DFT cell and can differ from measured ones.

Structural model:
a = 4.6325 Å, b = 4.6325 Å, c = 7.8836 Å
α = 90.00°, β = 90.00°, γ = 120.00°
Space group P-3m1 (No. 164)
One atom of each set of equivalent atoms:
Sr1 0.0000 0.0000 0.0000 (multiplicity 1)
Pr1 0.0000 0.0000 0.5000 (multiplicity 1)
Zn1 0.3333 0.6667 0.7286 (multiplicity 2)
Au1 0.3333 0.6667 0.2734 (multiplicity 2)

The 8 most intense peaks (10° ≤ 2θ ≤ 90°), in order of rising 2θ:
Position (°2θ), intensity, (hkl)
22.6, 13, 0 0 2
24.9, 35, 1 0 1
31.8, 100, 1 0 2
38.9, 71, 1 1 0
41.1, 14, 0 1 3
51.1, 26, 0 2 2
61.8, 28, 1 1 4
66.0, 24, 2 1 2



No. 4
ScVI6: simulated powder X-ray diffraction pattern (Cu Kα (λ = 1.5418 Å)), based on a DFT-relaxed cell (PBE, Alexandria).
Peak positions follow from Bragg's law for the DFT cell and can differ from measured ones.

Structural model:
a = 6.968 Å, b = 14.108 Å, c = 6.968 Å
α = 90.00°, β = 109.24°, γ = 90.00°
Space group C2/m (No. 12)
One atom of each set of equivalent atoms:
Sc1 0.000 0.000 0.000 (multiplicity 2)
V1 0.000 0.500 0.500 (multiplicity 2)
I1 0.242 0.359 0.744 (multiplicity 8)
I2 0.245 0.500 0.258 (multiplicity 4)

The 8 most intense peaks (10° ≤ 2θ ≤ 90°), in order of rising 2θ:
Position (°2θ), intensity, (hkl)
12.5, 37, 0 2 0
24.6, 89, 1 3 -1
27.1, 82, 2 0 0
29.2, 100, 1 3 1
31.5, 47, 2 0 -2
43.5, 65, 3 3 -1
51.9, 30, 0 8 0
55.9, 17, 4 0 0



No. 5
PaBeO6: simulated powder X-ray diffraction pattern (Cu Kα (λ = 1.5418 Å)), based on a DFT-relaxed cell (PBE, Alexandria).
Peak positions follow from Bragg's law for the DFT cell and can differ from measured ones.

Structural model:
a = 7.628 Å, b = 7.628 Å, c = 7.628 Å
α = 90.00°, β = 90.00°, γ = 90.00°
Space group Fm-3m (No. 225)
One atom of each set of equivalent atoms:
Pa1 0.000 0.000 0.000 (multiplicity 4)
Be1 0.000 0.000 0.500 (multiplicity 4)
O1 0.000 0.000 0.271 (multiplicity 24)

The 8 most intense peaks (10° ≤ 2θ ≤ 90°), in order of rising 2θ:
Position (°2θ), intensity, (hkl)
20.2, 100, 1 1 1
23.3, 95, 2 0 0
33.2, 43, 2 2 0
39.2, 69, 3 1 1
52.3, 35, 3 3 1
53.7, 37, 4 2 0
63.4, 21, 3 3 3
73.4, 20, 5 3 1



No. 6
Tm3Ge2Pt7: simulated powder X-ray diffraction pattern (Cu Kα (λ = 1.5418 Å)), based on a DFT-relaxed cell (PBE, Alexandria).
Peak positions follow from Bragg's law for the DFT cell and can differ from measured ones.

Structural model:
a = 4.136 Å, b = 27.303 Å, c = 3.950 Å
α = 90.00°, β = 90.00°, γ = 90.00°
Space group Cmmm (No. 65)
One atom of each set of equivalent atoms:
Tm1 0.000 0.000 0.000 (multiplicity 2)
Tm2 0.000 0.184 0.000 (multiplicity 4)
Ge1 0.000 0.369 0.500 (multiplicity 4)
Pt1 0.000 0.080 0.500 (multiplicity 4)
Pt2 0.000 0.281 0.500 (multiplicity 4)
Pt3 0.000 0.423 0.000 (multiplicity 4)
Pt4 0.000 0.500 0.500 (multiplicity 2)

The 8 most intense peaks (10° ≤ 2θ ≤ 90°), in order of rising 2θ:
Position (°2θ), intensity, (hkl)
32.8, 16, 0 10 0
35.5, 100, 1 5 1
39.1, 20, 1 7 1
43.5, 18, 1 9 1
43.8, 25, 2 0 0
45.9, 22, 0 0 2
65.3, 17, 2 0 2
75.0, 15, 3 5 1



No. 7
K3MgTl4: simulated powder X-ray diffraction pattern (Cu Kα (λ = 1.5418 Å)), based on a DFT-relaxed cell (PBE, Alexandria).
Peak positions follow from Bragg's law for the DFT cell and can differ from measured ones.

Structural model:
a = 12.067 Å, b = 5.433 Å, c = 10.461 Å
α = 90.00°, β = 120.55°, γ = 90.00°
Space group C2 (No. 5)
One atom of each set of equivalent atoms:
K1 0.000 0.000 0.000 (multiplicity 2)
K2 0.078 0.500 0.776 (multiplicity 4)
Mg1 0.000 0.999 0.500 (multiplicity 2)
Tl1 0.195 0.000 0.394 (multiplicity 4)
Tl2 0.229 0.500 0.234 (multiplicity 4)

The 8 most intense peaks (10° ≤ 2θ ≤ 90°), in order of rising 2θ:
Position (°2θ), intensity, (hkl)
14.7, 73, 2 0 -1
17.1, 99, 2 0 0
27.8, 75, 3 1 -1
30.2, 66, 1 1 2
31.2, 92, 1 1 -3
32.3, 100, 3 1 -3
33.0, 55, 0 2 0
37.4, 30, 2 2 0



No. 8
Pm3Sm3Ga4: simulated powder X-ray diffraction pattern (Cu Kα (λ = 1.5418 Å)), based on a DFT-relaxed cell (PBE, Alexandria).
Peak positions follow from Bragg's law for the DFT cell and can differ from measured ones.

Structural model:
a = 4.509 Å, b = 11.001 Å, c = 10.975 Å
α = 90.00°, β = 90.00°, γ = 90.00°
Space group Amm2 (No. 38)
One atom of each set of equivalent atoms:
Pm1 0.000 0.000 0.000 (multiplicity 2)
Pm2 0.000 0.174 0.326 (multiplicity 4)
Sm1 0.000 0.000 0.652 (multiplicity 2)
Sm2 0.500 0.250 0.076 (multiplicity 4)
Ga1 0.500 0.000 0.208 (multiplicity 2)
Ga2 0.500 0.000 0.445 (multiplicity 2)
Ga3 0.500 0.118 0.826 (multiplicity 4)

The 8 most intense peaks (10° ≤ 2θ ≤ 90°), in order of rising 2θ:
Position (°2θ), intensity, (hkl)
25.6, 21, 1 2 0
30.4, 63, 1 2 2
32.5, 100, 1 1 3
36.6, 42, 0 4 2
40.0, 24, 2 0 0
52.6, 15, 1 5 3
55.3, 25, 2 4 2
64.6, 15, 1 6 4



No. 9
Ce4Sn2C: simulated powder X-ray diffraction pattern (Cu Kα (λ = 1.5418 Å)), based on a DFT-relaxed cell (PBE, Alexandria).
Peak positions follow from Bragg's law for the DFT cell and can differ from measured ones.

Structural model:
a = 5.004 Å, b = 14.922 Å, c = 4.802 Å
α = 90.00°, β = 90.00°, γ = 90.00°
Space group Cmmm (No. 65)
One atom of each set of equivalent atoms:
Ce1 0.000 0.000 0.000 (multiplicity 2)
Ce2 0.000 0.170 0.500 (multiplicity 4)
Ce3 0.000 0.500 0.500 (multiplicity 2)
Sn1 0.000 0.345 0.000 (multiplicity 4)
C1 0.000 0.000 0.500 (multiplicity 2)

The 8 most intense peaks (10° ≤ 2θ ≤ 90°), in order of rising 2θ:
Position (°2θ), intensity, (hkl)
31.5, 100, 1 3 1
35.9, 19, 2 0 0
36.1, 17, 0 6 0
37.5, 17, 0 0 2
52.8, 12, 2 0 2
61.8, 15, 3 3 1
62.1, 13, 1 9 1
63.9, 14, 1 3 3



No. 10
Ca3Tl2Ag3: simulated powder X-ray diffraction pattern (Cu Kα (λ = 1.5418 Å)), based on a DFT-relaxed cell (PBE, Alexandria).
Peak positions follow from Bragg's law for the DFT cell and can differ from measured ones.

Structural model:
a = 8.9617 Å, b = 8.9617 Å, c = 6.2669 Å
α = 90.00°, β = 90.00°, γ = 120.00°
Space group P6_3/mcm (No. 193)
One atom of each set of equivalent atoms:
Ca1 0.0000 0.2771 0.2500 (multiplicity 6)
Tl1 0.3333 0.6667 0.0000 (multiplicity 4)
Ag1 0.0000 0.3820 0.7500 (multiplicity 6)

The 8 most intense peaks (10° ≤ 2θ ≤ 90°), in order of rising 2θ:
Position (°2θ), intensity, (hkl)
11.4, 92, 1 0 0
30.5, 21, 2 1 0
33.7, 22, 2 1 1
34.7, 74, 3 0 0
34.9, 100, 1 1 2
36.9, 20, 2 0 2
50.0, 28, 2 2 2
62.3, 26, 4 1 2



No. 11
AcNd6Tl: simulated powder X-ray diffraction pattern (Cu Kα (λ = 1.5418 Å)), based on a DFT-relaxed cell (PBE, Alexandria).
Peak positions follow from Bragg's law for the DFT cell and can differ from measured ones.

Structural model:
a = 5.096 Å, b = 5.096 Å, c = 10.541 Å
α = 90.00°, β = 90.00°, γ = 90.00°
Space group P4/mmm (No. 123)
One atom of each set of equivalent atoms:
Ac1 0.000 0.000 0.000 (multiplicity 1)
Nd1 0.000 0.500 0.262 (multiplicity 4)
Nd2 0.500 0.500 0.000 (multiplicity 1)
Nd3 0.500 0.500 0.500 (multiplicity 1)
Tl1 0.000 0.000 0.500 (multiplicity 1)

The 8 most intense peaks (10° ≤ 2θ ≤ 90°), in order of rising 2θ:
Position (°2θ), intensity, (hkl)
30.0, 100, 1 1 2
34.0, 17, 0 0 4
35.2, 33, 2 0 0
49.8, 24, 2 0 4
50.7, 12, 2 2 0
58.4, 14, 1 1 6
60.0, 28, 3 1 2
62.4, 12, 2 2 4